Simulated powder XRD pattern of CoAgTeO for Cu Ka, from the GGA+U geometry in OQMD.

Most intense lines, 2θ = 10–90°, by angle:
two_theta  I/Imax  hkl
13.20  15  0 0 2
30.26  44  2 0 0
30.69  100  0 1 3
40.33  11  0 0 6
43.64  55  2 1 3
47.36  19  0 2 0
51.24  12  2 0 6
57.24  14  2 2 0

Crystal structure
a b c (Å): 5.906 3.839 13.419
angles (deg): 90.00 90.00 90.00
Atoms (fractional coordinates):
Co: 0.151 0.250 0.197
Co: 0.349 0.750 0.697
Co: 0.651 0.250 0.303
Co: 0.849 0.750 0.803
Ag: 0.232 0.250 0.908
Ag: 0.268 0.750 0.408
Ag: 0.732 0.250 0.592
Ag: 0.768 0.750 0.092
Te: 0.218 0.250 0.575
Te: 0.282 0.750 0.075
Te: 0.718 0.250 0.925
Te: 0.782 0.750 0.425
O: 0.169 0.750 0.810
O: 0.331 0.250 0.310
O: 0.669 0.750 0.690
O: 0.831 0.250 0.190